Starting from a DFT-relaxed cell (GGA+U, the Materials Project), the X-ray powder pattern of MgW2Br4O4 was computed for Cu Kα.

Largest 10 diffraction maxima, in order of rising 2θ, 2θ from 10° to 80°:
- 10.43 deg, I = 94.9, hkl 0 1 0
- 22.94 deg, I = 93.5, hkl 0 0 2
- 23.05 deg, I = 94.7, hkl 1 0 0
- 25.25 deg, I = 22.9, hkl 0 1 2
- 31.65 deg, I = 48.6, hkl 0 3 0
- 32.75 deg, I = 71.5, hkl 1 0 -2
- 39.48 deg, I = 100.0, hkl 1 3 0
- 46.18 deg, I = 44.3, hkl 1 3 -2
- 62.92 deg, I = 23.2, hkl 1 3 -4
- 63.08 deg, I = 24.7, hkl 2 3 -2

Crystal structure
Cell lengths 3.858, 8.481, 7.755 Å; angles 90.00, 90.09, 90.00 degrees
Fractional coordinates of all 11 atoms:
Mg  0.000  0.000  0.000
W  0.499  0.500  0.260
W  0.502  0.500  0.763
Br  0.498  0.186  0.243
Br  0.498  0.814  0.243
Br  0.504  0.185  0.780
Br  0.504  0.815  0.780
O  0.002  0.500  0.761
O  0.500  0.500  0.504
O  0.501  0.500  0.018
O  0.999  0.500  0.261